Starting from a structure optimized by DFT (PBE), the powder XRD pattern of Tb2Sm4Y was computed for Cu Ka.
Neutral-atom scattering factors, no anomalous dispersion.

Cell and atoms:
```
14
Lattice="3.2816 -5.4554 0.0000 3.2816 5.4554 0.0000 0.0000 0.0000 13.2332" Properties=species:S:1:pos:R:3 pbc="T T T"
Tb 3.2816 3.6830 12.2753
Tb 3.2816 1.7724 5.6587
Tb 3.2816 -1.7724 7.5745
Tb 3.2816 -3.6830 0.9579
Sm 1.6408 0.2134 9.9249
Sm 3.2816 2.9007 8.7860
Sm 3.2816 2.5548 2.1694
Sm 1.6408 -0.2134 3.3083
Sm 4.9224 0.2134 9.9249
Sm 3.2816 -2.5548 11.0638
Sm 3.2816 -2.9007 4.4472
Sm 4.9224 -0.2134 3.3083
Y 0.0000 0.0000 6.6166
Y 3.2816 0.0000 0.0000
```

Top 10 peaks for 10° ≤ 2θ ≤ 90°, by angle:
- 2θ = 25.98°, I 39
- 2θ = 28.87°, I 52
- 2θ = 30.40°, I 41
- 2θ = 31.20°, I 29
- 2θ = 31.37°, I 100
- 2θ = 31.63°, I 64
- 2θ = 31.82°, I 76
- 2θ = 34.66°, I 55
- 2θ = 45.92°, I 29
- 2θ = 60.95°, I 37